# 1
Theoretical X-ray powder pattern of SmAl2Se4 for Cu Kα, from a DFT-relaxed cell (PBE, Alexandria).

Cell and atoms:
Cell lengths 7.7954, 7.7954, 6.3241 Å; angles 90.00, 90.00, 90.00 degrees
Space group I4/m (No. 87)
One atom of each set of equivalent atoms:
Sm: 0.0000 0.0000 0.0000 x2
Al: 0.0000 0.5000 0.2500 x4
Se: 0.1591 0.6755 0.5000 x8

Peak list (10 most intense, 2θ from 15° to 90°, by angle)
| d [Å] | intensity | hkl |
| --- | --- | --- |
| 4.911 | 34 | 1 0 1 |
| 3.162 | 27 | 0 0 2 |
| 3.053 | 100 | 1 2 1 |
| 2.756 | 18 | 2 2 0 |
| 2.465 | 21 | 3 1 0 |
| 1.944 | 42 | 3 1 2 |
| 1.811 | 18 | 4 1 1 |
| 1.804 | 21 | 1 2 3 |
| 1.514 | 9 | 5 0 1 |
| 1.231 | 10 | 5 3 2 |

---

# 2
Theoretical X-ray powder pattern of TbY10Ho4 for Cu Kα, from a DFT-relaxed cell (PBE, Alexandria).

Cell and atoms:
Cell lengths 12.1554, 12.1554, 7.6837 Å; angles 90.00, 90.00, 90.00 degrees
Space group I4/m (No. 87)
One atom of each set of equivalent atoms:
Tb: 0.0000 0.0000 0.0000 x2
Y: 0.0000 0.5000 0.2500 x4
Y: 0.0998 0.7995 0.2503 x16
Ho: 0.1002 0.2999 0.5000 x8

Peak list (10 most intense, 2θ from 15° to 90°, by angle)
| d [Å] | intensity | hkl |
| --- | --- | --- |
| 4.438 | 51 | 2 1 1 |
| 2.718 | 100 | 4 2 0 |
| 2.318 | 28 | 5 0 1 |
| 1.922 | 18 | 2 6 0 |
| 1.763 | 12 | 6 3 1 |
| 1.569 | 37 | 7 1 2 |
| 1.479 | 9 | 6 3 3 |
| 1.359 | 11 | 8 4 0 |
| 1.299 | 9 | 9 2 1 |
| 1.215 | 16 | 10 0 0 |